Record 1
Starting from a cell relaxed with GGA-PBE, the XRD peak list of MgAl4H12O12 was calculated for Cu Kα.
No peak broadening, texture or thermal motion is included.

Top 10 peaks for 2θ from 10° to 90°, low angle first:
d 8.071, 2θ 10.96, I = 61.6; d 5.617, 2θ 15.78, I = 20.6; d 5.268, 2θ 16.83, I = 100.0; d 4.258, 2θ 20.86, I = 21.5; d 4.036, 2θ 22.03, I = 27.1; d 3.040, 2θ 29.38, I = 16.2; d 2.211, 2θ 40.81, I = 32.2; d 2.076, 2θ 43.60, I = 43.7; d 2.043, 2θ 44.34, I = 17.2; d 1.835, 2θ 49.69, I = 25.5

Atomic structure:
```
data_MgAl4H12O12
_cell_length_a 5.0559
_cell_length_b 6.0135
_cell_length_c 8.3899
_cell_angle_alpha 74.37
_cell_angle_beta 83.47
_cell_angle_gamma 74.70
_symmetry_space_group_name_H-M 'P 1'
_symmetry_Int_Tables_number 1
_symmetry_space_group_name_Hall 'P 1'
loop_
_atom_site_label
_atom_site_type_symbol
_atom_site_fract_x
_atom_site_fract_y
_atom_site_fract_z
Mg1 Mg 0.0000 0.0000 0.0000
Al1 Al 0.2990 0.0953 0.5553
Al2 Al 0.4965 0.3516 0.1390
Al3 Al 0.8453 0.9208 0.6839
Al4 Al 0.9922 0.5280 0.9774
H1 H 0.0896 0.4771 0.6989
H2 H 0.0959 0.3588 0.3109
H3 H 0.1297 0.8325 0.4356
H4 H 0.3518 0.7274 0.2887
H5 H 0.3656 0.2025 0.9286
H6 H 0.4262 0.8158 0.3000
H7 H 0.4683 0.6983 0.6752
H8 H 0.5466 0.8036 0.9472
H9 H 0.6194 0.3458 0.5432
H10 H 0.6863 0.3817 0.8228
H11 H 0.7234 0.6291 0.2193
H12 H 0.8229 0.0264 0.3030
O1 O 0.0341 0.9704 0.4770
O2 O 0.0766 0.0837 0.7372
O3 O 0.0975 0.6044 0.7487
O4 O 0.2437 0.6469 0.0489
O5 O 0.2536 0.2205 0.0297
O6 O 0.2856 0.3145 0.3503
O7 O 0.5615 0.2161 0.6239
O8 O 0.5685 0.8107 0.6036
O9 O 0.7292 0.8378 0.9119
O10 O 0.7324 0.0423 0.2015
O11 O 0.7343 0.3647 0.9352
O12 O 0.7853 0.4754 0.1910
```

Record 2
Starting from a cell relaxed with GGA-PBE, the XRD peak list of Mg4Al3H17O17 was calculated for Cu Kα.
No peak broadening, texture or thermal motion is included.

Top 10 peaks for 2θ from 10° to 90°, low angle first:
d 6.976, 2θ 12.69, I = 100.0; d 3.489, 2θ 25.53, I = 7.6; d 2.578, 2θ 34.81, I = 4.2; d 2.545, 2θ 35.27, I = 12.1; d 2.432, 2θ 36.97, I = 2.9; d 2.266, 2θ 39.78, I = 10.6; d 2.213, 2θ 40.77, I = 14.8; d 1.890, 2θ 48.15, I = 5.4; d 1.841, 2θ 49.51, I = 9.2; d 1.518, 2θ 61.04, I = 2.6

Atomic structure:
```
data_Mg4Al3H17O17
_cell_length_a 3.0371
_cell_length_b 7.1394
_cell_length_c 18.5535
_cell_angle_alpha 95.01
_cell_angle_beta 94.46
_cell_angle_gamma 100.75
_symmetry_space_group_name_H-M 'P 1'
_symmetry_Int_Tables_number 1
_symmetry_space_group_name_Hall 'P 1'
loop_
_atom_site_label
_atom_site_type_symbol
_atom_site_fract_x
_atom_site_fract_y
_atom_site_fract_z
Mg1 Mg 0.0000 0.0000 0.0000
Mg2 Mg 0.1261 0.9656 0.2973
Mg3 Mg 0.5641 0.9835 0.1486
Mg4 Mg 0.6944 0.9448 0.4427
Al1 Al 0.2648 0.9350 0.5792
Al2 Al 0.4267 0.9839 0.8509
Al3 Al 0.8434 0.9611 0.7163
H1 H 0.0124 0.6624 0.3881
H2 H 0.0537 0.2767 0.8923
H3 H 0.1281 0.4853 0.7764
H4 H 0.2186 0.2655 0.2172
H5 H 0.2306 0.6269 0.6719
H6 H 0.3261 0.7186 0.9230
H7 H 0.4065 0.2323 0.5059
H8 H 0.4728 0.6836 0.2364
H9 H 0.5218 0.4636 0.6633
H10 H 0.5731 0.2693 0.7801
H11 H 0.6531 0.2830 0.0623
H12 H 0.6707 0.6057 0.5104
H13 H 0.7577 0.2453 0.3700
H14 H 0.8576 0.6212 0.8143
H15 H 0.9090 0.7012 0.0840
H16 H 0.9577 0.2447 0.6419
H17 H 0.9715 0.4493 0.4902
O1 O 0.0125 0.1419 0.9012
O2 O 0.1016 0.7990 0.3854
O3 O 0.1542 0.1284 0.2046
O4 O 0.2261 0.4812 0.6768
O5 O 0.2687 0.8384 0.6731
O6 O 0.2885 0.0930 0.5029
O7 O 0.4064 0.8565 0.9360
O8 O 0.4567 0.1292 0.7692
O9 O 0.5346 0.8212 0.2361
O10 O 0.5894 0.1449 0.0541
O11 O 0.6597 0.4674 0.4846
O12 O 0.6920 0.8093 0.5404
O13 O 0.7157 0.1096 0.3544
O14 O 0.8502 0.8569 0.8055
O15 O 0.8662 0.1035 0.6353
O16 O 0.9467 0.4927 0.8184
O17 O 0.9716 0.8394 0.0865
```

Record 3
Starting from a cell relaxed with GGA-PBE, the XRD peak list of MgAl4H12O12 was calculated for Cu Kα.
No peak broadening, texture or thermal motion is included.

Top 10 peaks for 2θ from 10° to 90°, low angle first:
d 5.179, 2θ 17.12, I = 100.0; d 4.608, 2θ 19.26, I = 70.3; d 4.584, 2θ 19.36, I = 17.2; d 4.419, 2θ 20.09, I = 47.0; d 3.467, 2θ 25.69, I = 35.5; d 3.389, 2θ 26.29, I = 40.0; d 2.367, 2θ 38.01, I = 31.9; d 2.339, 2θ 38.49, I = 43.0; d 2.312, 2θ 38.95, I = 27.2; d 1.829, 2θ 49.85, I = 26.3

Atomic structure:
```
data_MgAl4H12O12
_cell_length_a 5.1844
_cell_length_b 7.3144
_cell_length_c 7.3291
_cell_angle_alpha 90.09
_cell_angle_beta 107.68
_cell_angle_gamma 109.96
_symmetry_space_group_name_H-M 'P 1'
_symmetry_Int_Tables_number 1
_symmetry_space_group_name_Hall 'P 1'
loop_
_atom_site_label
_atom_site_type_symbol
_atom_site_fract_x
_atom_site_fract_y
_atom_site_fract_z
Mg1 Mg 0.0000 0.0000 0.0000
Al1 Al 0.5422 0.5496 0.1374
Al2 Al 0.5919 0.1354 0.6075
Al3 Al 0.8788 0.8491 0.4981
Al4 Al 0.8994 0.3975 0.9821
H1 H 0.0326 0.7424 0.8006
H2 H 0.0994 0.3960 0.7154
H3 H 0.1524 0.2066 0.4950
H4 H 0.2452 0.2769 0.2499
H5 H 0.2605 0.7686 0.0689
H6 H 0.2901 0.8007 0.4452
H7 H 0.3635 0.9712 0.0893
H8 H 0.5021 0.0479 0.9396
H9 H 0.5190 0.5023 0.4693
H10 H 0.6334 0.6063 0.8200
H11 H 0.6591 0.9028 0.1741
H12 H 0.8018 0.3204 0.3004
O1 O 0.2058 0.2947 0.1083
O2 O 0.2244 0.6267 0.0328
O3 O 0.2603 0.8828 0.5362
O4 O 0.3549 0.2644 0.4913
O5 O 0.5887 0.6161 0.3983
O6 O 0.5981 0.5017 0.9032
O7 O 0.6548 0.1149 0.8782
O8 O 0.7922 0.0613 0.4849
O9 O 0.8009 0.8364 0.1837
O10 O 0.8107 0.4175 0.2094
O11 O 0.9091 0.3726 0.7273
O12 O 0.9129 0.8232 0.7567
```

Record 4
Starting from a cell relaxed with GGA-PBE, the XRD peak list of MgAl4H12O12 was calculated for Cu Kα.
No peak broadening, texture or thermal motion is included.

Top 10 peaks for 2θ from 10° to 90°, low angle first:
d 7.774, 2θ 11.38, I = 39.4; d 6.673, 2θ 13.27, I = 16.3; d 5.666, 2θ 15.64, I = 100.0; d 4.797, 2θ 18.50, I = 30.0; d 4.620, 2θ 19.21, I = 14.3; d 4.266, 2θ 20.82, I = 27.8; d 3.885, 2θ 22.89, I = 16.9; d 3.336, 2θ 26.72, I = 17.4; d 2.702, 2θ 33.15, I = 15.4; d 2.322, 2θ 38.77, I = 17.7

Atomic structure:
```
data_MgAl4H12O12
_cell_length_a 5.2212
_cell_length_b 7.1745
_cell_length_c 8.1045
_cell_angle_alpha 97.30
_cell_angle_beta 101.55
_cell_angle_gamma 108.18
_symmetry_space_group_name_H-M 'P 1'
_symmetry_Int_Tables_number 1
_symmetry_space_group_name_Hall 'P 1'
loop_
_atom_site_label
_atom_site_type_symbol
_atom_site_fract_x
_atom_site_fract_y
_atom_site_fract_z
Mg1 Mg 0.0000 0.0000 0.0000
Al1 Al 0.0590 0.5505 0.1509
Al2 Al 0.3247 0.9322 0.4098
Al3 Al 0.4429 0.3758 0.0142
Al4 Al 0.9737 0.0868 0.6025
H1 H 0.0615 0.7620 0.6114
H2 H 0.1584 0.2663 0.2489
H3 H 0.2333 0.4398 0.7364
H4 H 0.3945 0.2733 0.5006
H5 H 0.4853 0.7434 0.0534
H6 H 0.4955 0.6400 0.3738
H7 H 0.5248 0.0510 0.0308
H8 H 0.6107 0.9568 0.7495
H9 H 0.6851 0.9302 0.0937
H10 H 0.7268 0.3509 0.2994
H11 H 0.8079 0.4111 0.8470
H12 H 0.8834 0.8492 0.1916
O1 O 0.0695 0.8321 0.1932
O2 O 0.1198 0.2983 0.1316
O3 O 0.1305 0.8877 0.5752
O4 O 0.1865 0.3115 0.7719
O5 O 0.2132 0.1730 0.4414
O6 O 0.3210 0.6632 0.3733
O7 O 0.3442 0.6047 0.0354
O8 O 0.3863 0.1070 0.9733
O9 O 0.6730 0.0825 0.4593
O10 O 0.7291 0.4581 0.2352
O11 O 0.7717 0.4864 0.9427
O12 O 0.7992 0.9558 0.7588
```

Record 5
Starting from a cell relaxed with GGA-PBE, the XRD peak list of MgAl4H12O12 was calculated for Cu Kα.
No peak broadening, texture or thermal motion is included.

Top 10 peaks for 2θ from 10° to 90°, low angle first:
d 5.093, 2θ 17.41, I = 100.0; d 4.478, 2θ 19.83, I = 29.4; d 4.282, 2θ 20.74, I = 28.0; d 4.232, 2θ 20.99, I = 28.3; d 2.392, 2θ 37.60, I = 21.9; d 2.380, 2θ 37.80, I = 24.0; d 2.020, 2θ 44.87, I = 12.2; d 1.925, 2θ 47.20, I = 28.9; d 1.899, 2θ 47.90, I = 29.7; d 1.765, 2θ 51.79, I = 10.3

Atomic structure:
```
data_MgAl4H12O12
_cell_length_a 4.9594
_cell_length_b 6.8331
_cell_length_c 6.9924
_cell_angle_alpha 80.77
_cell_angle_beta 78.65
_cell_angle_gamma 79.10
_symmetry_space_group_name_H-M 'P 1'
_symmetry_Int_Tables_number 1
_symmetry_space_group_name_Hall 'P 1'
loop_
_atom_site_label
_atom_site_type_symbol
_atom_site_fract_x
_atom_site_fract_y
_atom_site_fract_z
Mg1 Mg 0.0000 0.0000 0.0000
Al1 Al 0.2271 0.7428 0.6964
Al2 Al 0.3322 0.4506 0.0469
Al3 Al 0.7049 0.9399 0.5450
Al4 Al 0.7805 0.3047 0.2409
H1 H 0.0004 0.5906 0.4790
H2 H 0.0677 0.1077 0.6257
H3 H 0.1397 0.9630 0.3151
H4 H 0.2167 0.3169 0.3874
H5 H 0.3766 0.9284 0.0874
H6 H 0.4573 0.9031 0.9182
H7 H 0.4780 0.0748 0.0995
H8 H 0.4997 0.7326 0.3391
H9 H 0.5149 0.3076 0.5933
H10 H 0.6473 0.5386 0.7218
H11 H 0.8597 0.6486 0.0288
H12 H 0.9743 0.3746 0.8809
O1 O 0.0520 0.6924 0.9764
O2 O 0.0705 0.2945 0.9832
O3 O 0.0785 0.4010 0.3110
O4 O 0.4492 0.8195 0.4476
O5 O 0.4589 0.8911 0.7699
O6 O 0.4612 0.4972 0.7618
O7 O 0.5479 0.2236 0.4847
O8 O 0.5809 0.1983 0.0839
O9 O 0.5883 0.5444 0.1523
O10 O 0.9403 0.0095 0.3041
O11 O 0.9474 0.6692 0.5927
O12 O 0.9599 0.0052 0.6969
```

Record 6
Starting from a cell relaxed with GGA-PBE, the XRD peak list of MgAl4H12O12 was calculated for Cu Kα.
No peak broadening, texture or thermal motion is included.

Top 10 peaks for 2θ from 10° to 90°, low angle first:
d 5.205, 2θ 17.03, I = 100.0; d 4.554, 2θ 19.49, I = 44.4; d 4.472, 2θ 19.85, I = 25.7; d 4.415, 2θ 20.11, I = 23.1; d 3.651, 2θ 24.38, I = 20.2; d 3.540, 2θ 25.15, I = 16.1; d 2.418, 2θ 37.18, I = 15.8; d 2.337, 2θ 38.53, I = 41.7; d 2.208, 2θ 40.88, I = 42.9; d 1.956, 2θ 46.43, I = 32.1

Atomic structure:
```
data_MgAl4H12O12
_cell_length_a 5.2263
_cell_length_b 6.8469
_cell_length_c 7.4527
_cell_angle_alpha 77.66
_cell_angle_beta 73.98
_cell_angle_gamma 74.50
_symmetry_space_group_name_H-M 'P 1'
_symmetry_Int_Tables_number 1
_symmetry_space_group_name_Hall 'P 1'
loop_
_atom_site_label
_atom_site_type_symbol
_atom_site_fract_x
_atom_site_fract_y
_atom_site_fract_z
Mg1 Mg 0.0000 0.0000 0.0000
Al1 Al 0.4596 0.0392 0.4855
Al2 Al 0.5064 0.6833 0.8009
Al3 Al 0.9565 0.2130 0.3324
Al4 Al 0.9694 0.5272 0.9757
H1 H 0.1103 0.3800 0.5308
H2 H 0.1130 0.8513 0.4754
H3 H 0.2220 0.6365 0.1694
H4 H 0.3562 0.4413 0.6860
H5 H 0.3568 0.1975 0.0186
H6 H 0.4100 0.0528 0.8052
H7 H 0.5831 0.4986 0.2706
H8 H 0.6242 0.1365 0.1420
H9 H 0.6744 0.9263 0.9309
H10 H 0.7016 0.2999 0.8876
H11 H 0.7102 0.6773 0.4485
H12 H 0.7185 0.1546 0.6817
O1 O 0.1446 0.2419 0.0651
O2 O 0.1846 0.6870 0.0448
O3 O 0.2026 0.9569 0.3924
O4 O 0.2045 0.3038 0.4256
O5 O 0.2567 0.5589 0.7511
O6 O 0.3026 0.9818 0.7565
O7 O 0.6636 0.7667 0.5447
O8 O 0.6798 0.1874 0.5525
O9 O 0.7187 0.0771 0.2535
O10 O 0.7192 0.7706 0.9171
O11 O 0.7557 0.4411 0.8543
O12 O 0.7797 0.4844 0.2431
```

Record 7
Starting from a cell relaxed with GGA-PBE, the XRD peak list of MgAl4H12O12 was calculated for Cu Kα.
No peak broadening, texture or thermal motion is included.

Top 10 peaks for 2θ from 10° to 90°, low angle first:
d 4.946, 2θ 17.93, I = 100.0; d 4.474, 2θ 19.84, I = 19.4; d 2.389, 2θ 37.66, I = 23.6; d 2.317, 2θ 38.87, I = 25.1; d 2.179, 2θ 41.44, I = 28.4; d 1.881, 2θ 48.39, I = 16.8; d 1.812, 2θ 50.35, I = 14.5; d 1.683, 2θ 54.51, I = 7.6; d 1.493, 2θ 62.18, I = 6.8; d 1.491, 2θ 62.28, I = 11.5

Atomic structure:
```
data_MgAl4H12O12
_cell_length_a 5.1703
_cell_length_b 6.7421
_cell_length_c 7.5470
_cell_angle_alpha 78.07
_cell_angle_beta 71.16
_cell_angle_gamma 68.65
_symmetry_space_group_name_H-M 'P 1'
_symmetry_Int_Tables_number 1
_symmetry_space_group_name_Hall 'P 1'
loop_
_atom_site_label
_atom_site_type_symbol
_atom_site_fract_x
_atom_site_fract_y
_atom_site_fract_z
Mg1 Mg 0.0000 0.0000 0.0000
Al1 Al 0.0023 0.3401 0.6488
Al2 Al 0.0037 0.6567 0.3115
Al3 Al 0.5034 0.1783 0.8184
Al4 Al 0.5284 0.8188 0.1569
H1 H 0.0232 0.4387 0.9645
H2 H 0.0385 0.0511 0.3326
H3 H 0.0615 0.9310 0.6911
H4 H 0.1346 0.6722 0.6098
H5 H 0.2820 0.7525 0.6762
H6 H 0.4310 0.2188 0.1712
H7 H 0.4605 0.5642 0.7332
H8 H 0.4680 0.7813 0.5101
H9 H 0.4740 0.5102 0.0762
H10 H 0.4958 0.0758 0.5114
H11 H 0.5382 0.7943 0.8128
H12 H 0.7795 0.3699 0.3882
O1 O 0.0182 0.6132 0.5630
O2 O 0.0931 0.3086 0.8970
O3 O 0.1081 0.9354 0.2522
O4 O 0.4126 0.1962 0.5892
O5 O 0.4208 0.5646 0.1983
O6 O 0.4558 0.8991 0.9046
O7 O 0.5497 0.1178 0.0778
O8 O 0.5982 0.8187 0.3854
O9 O 0.5989 0.4283 0.7786
O10 O 0.9161 0.0745 0.7346
O11 O 0.9234 0.7091 0.0793
O12 O 0.9676 0.3662 0.3942
```

Record 8
Starting from a cell relaxed with GGA-PBE, the XRD peak list of MgAl4H12O12 was calculated for Cu Kα.
No peak broadening, texture or thermal motion is included.

Top 10 peaks for 2θ from 10° to 90°, low angle first:
d 5.132, 2θ 17.28, I = 100.0; d 4.521, 2θ 19.64, I = 48.0; d 4.474, 2θ 19.84, I = 55.1; d 3.507, 2θ 25.40, I = 13.7; d 3.461, 2θ 25.74, I = 14.2; d 2.372, 2θ 37.92, I = 27.2; d 2.314, 2θ 38.92, I = 40.2; d 2.260, 2θ 39.89, I = 48.3; d 1.887, 2θ 48.22, I = 28.8; d 1.819, 2θ 50.16, I = 18.0

Atomic structure:
```
data_MgAl4H12O12
_cell_length_a 5.2148
_cell_length_b 7.0224
_cell_length_c 7.5406
_cell_angle_alpha 75.84
_cell_angle_beta 69.90
_cell_angle_gamma 68.99
_symmetry_space_group_name_H-M 'P 1'
_symmetry_Int_Tables_number 1
_symmetry_space_group_name_Hall 'P 1'
loop_
_atom_site_label
_atom_site_type_symbol
_atom_site_fract_x
_atom_site_fract_y
_atom_site_fract_z
Mg1 Mg 0.0000 0.0000 0.0000
Al1 Al 0.0386 0.4832 0.0426
Al2 Al 0.0761 0.7987 0.6846
Al3 Al 0.5089 0.3271 0.2257
Al4 Al 0.5404 0.9632 0.5486
H1 H 0.1166 0.2580 0.5050
H2 H 0.2718 0.4205 0.7016
H3 H 0.2774 0.6994 0.1414
H4 H 0.3180 0.8937 0.1146
H5 H 0.3303 0.0897 0.1077
H6 H 0.3448 0.8570 0.3226
H7 H 0.6315 0.8136 0.9999
H8 H 0.6374 0.5677 0.3520
H9 H 0.6851 0.1714 0.7058
H10 H 0.7577 0.4078 0.8656
H11 H 0.9102 0.0802 0.3193
H12 H 0.9604 0.6423 0.4686
O1 O 0.2305 0.5672 0.1689
O2 O 0.2563 0.5185 0.7806
O3 O 0.2638 0.9244 0.7618
O4 O 0.3147 0.2524 0.4821
O5 O 0.3176 0.2354 0.1068
O6 O 0.3773 0.8189 0.4499
O7 O 0.7348 0.4573 0.2706
O8 O 0.7703 0.0525 0.2771
O9 O 0.7763 0.0568 0.6325
O10 O 0.8312 0.3294 0.9736
O11 O 0.8442 0.7727 0.9631
O12 O 0.8563 0.7190 0.5768
```